1.
Diffraction record for Ba2TmAsP. The powder diffractogram is computed, not measured: it uses a crystal structure in OQMD, relaxed with GGA-PBE and Cu Kα.

Atomic structure:
Lattice parameters (Å, degrees): 8.9205 8.9205 8.6012 90.00 90.00 150.18
Fractional coordinates of all 10 atoms:
Ba 0.0588 0.9412 0.5000
Ba 0.2082 0.7918 0.1656
Ba 0.7918 0.2082 0.6656
Ba 0.9412 0.0588 0.0000
Tm 0.4096 0.5904 0.3653
Tm 0.5904 0.4096 0.8653
As 0.4484 0.5516 0.6892
As 0.5516 0.4484 0.1892
P 0.1668 0.8332 0.8043
P 0.8332 0.1668 0.3043

Top 12 peaks for 2θ = 10–90°, most intense first:
| 2theta | d [Å] | I/Imax |
| --- | --- | --- |
| 26.93 | 3.310 | 100 |
| 32.91 | 2.722 | 58 |
| 32.49 | 2.756 | 51 |
| 28.92 | 3.088 | 36 |
| 23.10 | 3.850 | 35 |
| 52.13 | 1.755 | 31 |
| 22.55 | 3.943 | 31 |
| 39.25 | 2.295 | 30 |
| 46.93 | 1.936 | 27 |
| 10.26 | 8.620 | 25 |
| 34.15 | 2.625 | 20 |
| 40.27 | 2.239 | 17 |

2.
Diffraction record for Ba2SbAsPd2. The powder diffractogram is computed, not measured: it uses a crystal structure in OQMD, relaxed with GGA-PBE and Cu Kα.

Atomic structure:
Lattice parameters (Å, degrees): 4.5127 4.5127 9.6285 90.00 90.00 120.00
Fractional coordinates of all 6 atoms:
Ba 0.0000 0.0000 0.2358
Ba 0.0000 0.0000 0.7642
Sb 0.3333 0.6667 0.5000
As 0.6667 0.3333 0.0000
Pd 0.3333 0.6667 0.0000
Pd 0.6667 0.3333 0.5000

Top 12 peaks for 2θ = 10–90°, most intense first:
| 2theta | d [Å] | I/Imax |
| --- | --- | --- |
| 29.44 | 3.034 | 100 |
| 39.96 | 2.256 | 46 |
| 55.85 | 1.646 | 32 |
| 50.40 | 1.811 | 22 |
| 66.17 | 1.412 | 19 |
| 37.36 | 2.407 | 17 |
| 84.58 | 1.146 | 10 |
| 62.57 | 1.484 | 10 |
| 72.57 | 1.303 | 8 |
| 18.43 | 4.814 | 6 |
| 76.87 | 1.240 | 5 |
| 86.21 | 1.128 | 5 |

3.
Diffraction record for Ba2PrAs2. The powder diffractogram is computed, not measured: it uses a crystal structure in OQMD, relaxed with GGA-PBE and Cu Kα.

Atomic structure:
Lattice parameters (Å, degrees): 10.1381 9.4556 8.2532 90.00 90.67 90.00
Fractional coordinates of all 20 atoms:
Ba 0.0026 0.1232 0.2625
Ba 0.0026 0.3768 0.7625
Ba 0.3603 0.6321 0.9041
Ba 0.3603 0.8679 0.4041
Ba 0.6397 0.1321 0.5959
Ba 0.6397 0.3679 0.0959
Ba 0.9974 0.6232 0.2375
Ba 0.9974 0.8768 0.7375
Pr 0.3262 0.1102 0.9368
Pr 0.3262 0.3898 0.4368
Pr 0.6738 0.6102 0.5632
Pr 0.6738 0.8898 0.0632
As 0.1880 0.6220 0.5743
As 0.1880 0.8780 0.0743
As 0.2305 0.1334 0.6002
As 0.2305 0.3666 0.1002
As 0.7695 0.6334 0.8998
As 0.7695 0.8666 0.3998
As 0.8120 0.1220 0.9257
As 0.8120 0.3780 0.4257

Top 12 peaks for 2θ = 10–90°, most intense first:
| 2theta | d [Å] | I/Imax |
| --- | --- | --- |
| 27.90 | 3.198 | 100 |
| 28.04 | 3.182 | 52 |
| 23.42 | 3.799 | 50 |
| 37.84 | 2.378 | 47 |
| 38.07 | 2.364 | 24 |
| 42.01 | 2.150 | 23 |
| 47.94 | 1.898 | 21 |
| 26.38 | 3.379 | 18 |
| 23.18 | 3.838 | 17 |
| 46.93 | 1.936 | 15 |
| 41.60 | 2.171 | 11 |
| 47.38 | 1.919 | 10 |

4.
Diffraction record for BaSnAsPt2. The powder diffractogram is computed, not measured: it uses a crystal structure in OQMD, relaxed with GGA-PBE and Cu Kα.

Atomic structure:
Lattice parameters (Å, degrees): 4.8271 4.7190 10.2548 90.00 92.21 90.00
Fractional coordinates of all 10 atoms:
Ba 0.2363 0.2500 0.2635
Ba 0.7637 0.7500 0.7365
Sn 0.2997 0.2500 0.8790
Sn 0.7003 0.7500 0.1210
As 0.2479 0.7500 0.4988
As 0.7521 0.2500 0.5012
Pt 0.1889 0.7500 0.9963
Pt 0.2601 0.2500 0.6028
Pt 0.7399 0.7500 0.3972
Pt 0.8111 0.2500 0.0037

Top 12 peaks for 2θ = 10–90°, most intense first:
| 2theta | d [Å] | I/Imax |
| --- | --- | --- |
| 38.14 | 2.360 | 100 |
| 32.36 | 2.767 | 91 |
| 37.28 | 2.412 | 84 |
| 31.35 | 2.853 | 83 |
| 32.70 | 2.738 | 73 |
| 54.40 | 1.687 | 57 |
| 32.16 | 2.783 | 55 |
| 17.31 | 5.124 | 54 |
| 43.79 | 2.067 | 51 |
| 27.62 | 3.230 | 46 |
| 51.10 | 1.787 | 42 |
| 45.01 | 2.014 | 40 |

5.
Diffraction record for BaSrTmAs2. The powder diffractogram is computed, not measured: it uses a crystal structure in OQMD, relaxed with GGA-PBE and Cu Kα.

Atomic structure:
Lattice parameters (Å, degrees): 9.4930 9.4930 7.7941 90.00 90.00 151.87
Fractional coordinates of all 10 atoms:
Ba 0.2025 0.7975 0.5000
Ba 0.7975 0.2025 0.0000
Sr 0.0397 0.9603 0.1967
Sr 0.9603 0.0397 0.6967
Tm 0.4058 0.5942 0.3382
Tm 0.5942 0.4058 0.8382
As 0.1693 0.8307 0.9369
As 0.4515 0.5485 0.9915
As 0.5485 0.4515 0.4915
As 0.8307 0.1693 0.4369

Top 12 peaks for 2θ = 10–90°, most intense first:
| 2theta | d [Å] | I/Imax |
| --- | --- | --- |
| 31.07 | 2.879 | 100 |
| 33.45 | 2.679 | 96 |
| 26.74 | 3.334 | 96 |
| 22.87 | 3.889 | 71 |
| 39.05 | 2.306 | 71 |
| 14.89 | 5.949 | 64 |
| 35.92 | 2.500 | 45 |
| 31.32 | 2.856 | 45 |
| 42.56 | 2.124 | 41 |
| 30.41 | 2.939 | 40 |
| 24.81 | 3.589 | 36 |
| 50.89 | 1.794 | 35 |

6.
Diffraction record for CsBeCd3As3. The powder diffractogram is computed, not measured: it uses a crystal structure in OQMD, relaxed with GGA-PBE and Cu Kα.

Atomic structure:
Lattice parameters (Å, degrees): 4.3222 4.5193 10.8741 90.00 90.00 90.00
Fractional coordinates of all 8 atoms:
Cs 0.0000 0.0000 0.0000
Be 0.0000 0.5000 0.3244
Cd 0.0000 0.5000 0.6459
Cd 0.5000 0.0000 0.3362
Cd 0.5000 0.0000 0.6600
As 0.0000 0.0000 0.4829
As 0.5000 0.5000 0.2111
As 0.5000 0.5000 0.7984

Top 12 peaks for 2θ = 10–90°, most intense first:
| 2theta | d [Å] | I/Imax |
| --- | --- | --- |
| 26.34 | 3.383 | 100 |
| 29.76 | 3.002 | 77 |
| 44.16 | 2.051 | 72 |
| 38.03 | 2.366 | 70 |
| 25.63 | 3.475 | 52 |
| 39.90 | 2.260 | 48 |
| 41.80 | 2.161 | 42 |
| 33.07 | 2.708 | 39 |
| 48.44 | 1.879 | 37 |
| 31.64 | 2.828 | 31 |
| 59.16 | 1.562 | 29 |
| 24.56 | 3.625 | 28 |

7.
Diffraction record for CsBe2Cd2As3. The powder diffractogram is computed, not measured: it uses a crystal structure in OQMD, relaxed with GGA-PBE and Cu Kα.

Atomic structure:
Lattice parameters (Å, degrees): 4.0617 4.4324 10.9586 90.00 90.00 90.00
Fractional coordinates of all 8 atoms:
Cs 0.0000 0.0000 0.0000
Be 0.0000 0.5000 0.3313
Be 0.0000 0.5000 0.6687
Cd 0.5000 0.0000 0.3442
Cd 0.5000 0.0000 0.6558
As 0.0000 0.0000 0.5000
As 0.5000 0.5000 0.2159
As 0.5000 0.5000 0.7841

Top 12 peaks for 2θ = 10–90°, most intense first:
| 2theta | d [Å] | I/Imax |
| --- | --- | --- |
| 27.33 | 3.263 | 100 |
| 44.84 | 2.021 | 64 |
| 31.74 | 2.819 | 47 |
| 25.85 | 3.446 | 45 |
| 20.03 | 4.432 | 41 |
| 30.96 | 2.889 | 38 |
| 49.73 | 1.833 | 38 |
| 40.71 | 2.216 | 34 |
| 38.89 | 2.316 | 33 |
| 44.62 | 2.031 | 26 |
| 72.86 | 1.298 | 19 |
| 61.98 | 1.497 | 19 |

8.
Diffraction record for CsBe2Cd2As3. The powder diffractogram is computed, not measured: it uses a crystal structure in OQMD, relaxed with GGA-PBE and Cu Kα.

Atomic structure:
Lattice parameters (Å, degrees): 4.2382 4.2382 10.5957 90.00 90.00 90.00
Fractional coordinates of all 8 atoms:
Cs 0.0000 0.0000 0.0000
Be 0.0000 0.5000 0.6745
Be 0.5000 0.0000 0.6745
Cd 0.0000 0.5000 0.3734
Cd 0.5000 0.0000 0.3734
As 0.0000 0.0000 0.5620
As 0.5000 0.5000 0.2192
As 0.5000 0.5000 0.7759

Top 12 peaks for 2θ = 10–90°, most intense first:
| 2theta | d [Å] | I/Imax |
| --- | --- | --- |
| 26.94 | 3.310 | 100 |
| 42.67 | 2.119 | 62 |
| 31.01 | 2.884 | 60 |
| 45.71 | 1.985 | 49 |
| 34.38 | 2.608 | 38 |
| 61.93 | 1.498 | 35 |
| 51.19 | 1.785 | 33 |
| 39.43 | 2.285 | 25 |
| 33.01 | 2.713 | 20 |
| 80.28 | 1.196 | 18 |
| 16.73 | 5.298 | 18 |
| 25.22 | 3.532 | 13 |